Structure and theoretical PXRD pattern of Sm6RuAu2 (a DFT-relaxed cell (GGA-PBE, Alexandria); Cu Kα (λ = 1.5418 Å)).
No peak broadening, texture or thermal motion is included.

Main lines, by angle (10° ≤ 2θ ≤ 90°):
- 3.049 Å, 2θ = 29.3°, I = 63, (1 0 -4)
- 3.037 Å, 2θ = 29.4°, I = 63, (0 2 2)
- 2.997 Å, 2θ = 29.8°, I = 100, (2 1 -1)
- 2.824 Å, 2θ = 31.7°, I = 66, (1 1 -4)
- 2.539 Å, 2θ = 35.4°, I = 65, (0 2 3)
- 2.349 Å, 2θ = 38.3°, I = 54, (1 3 -1)

Atomic structure:
a b c (Å): 6.8386 7.5036 12.2644
angles (deg): 90.00 122.50 90.00
Atoms (fractional coordinates):
1 Sm 0.1082 0.1857 0.4370
2 Sm 0.1082 0.3143 0.9370
3 Sm 0.2568 0.6825 0.4348
4 Sm 0.2568 0.8175 0.9348
5 Sm 0.3876 0.0286 0.2489
6 Sm 0.3876 0.4714 0.7489
7 Sm 0.6124 0.5286 0.2511
8 Sm 0.6124 0.9714 0.7511
9 Sm 0.7432 0.1825 0.0652
10 Sm 0.7432 0.3175 0.5652
11 Sm 0.8918 0.6857 0.0630
12 Sm 0.8918 0.8143 0.5630
13 Ru 0.5000 0.0000 0.5000
14 Ru 0.5000 0.5000 0.0000
15 Au 0.1883 0.1097 0.7420
16 Au 0.1883 0.3903 0.2420
17 Au 0.8117 0.6097 0.7580
18 Au 0.8117 0.8903 0.2580